(1)
Calculated PXRD pattern of Ca2Mn2Si2C for Cu Kα, from a DFT-relaxed cell (PBE, Alexandria).
Kinematic intensities with the Lorentz-polarization factor, no thermal factor.

The 10 most intense peaks (5° ≤ 2θ ≤ 70°), low angle first:
d/Å, I/Imax
7.562, 100.0
3.081, 14.3
2.587, 40.7
2.521, 15.2
2.389, 24.6
2.225, 58.9
1.947, 36.8
1.541, 17.6
1.509, 10.4
1.376, 10.8

Crystal structure
```
data_Ca2Mn2Si2C
_chemical_formula_sum 'Ca4 Mn4 Si4 C2'
_cell_length_a 3.8931
_cell_length_b 3.8931
_cell_length_c 15.1239
_cell_angle_alpha 90.00
_cell_angle_beta 90.00
_cell_angle_gamma 90.00
_space_group_name_H-M_alt 'I 4/m m m'
_space_group_IT_number 139
_space_group_name_Hall '-I 4 2'
loop_
_atom_site_label
_atom_site_fract_x
_atom_site_fract_y
_atom_site_fract_z
Ca1 0.0000 0.0000 0.1666
Mn1 0.0000 0.5000 0.0000
Si1 0.0000 0.0000 0.4020
C1 0.0000 0.0000 0.0000
```

=====

(2)
Calculated PXRD pattern of CaC8N6 for Cu Kα, from a DFT-relaxed cell (PBE, Alexandria).
Kinematic intensities with the Lorentz-polarization factor, no thermal factor.

The 10 most intense peaks (5° ≤ 2θ ≤ 70°), low angle first:
d/Å, I/Imax
6.589, 23.0
4.273, 100.0
3.967, 58.4
3.566, 43.7
3.398, 22.8
3.162, 47.8
3.112, 67.9
2.841, 36.7
2.310, 34.4
2.163, 24.4

Crystal structure
```
data_CaC8N6
_chemical_formula_sum 'Ca2 C16 N12'
_cell_length_a 8.1426
_cell_length_b 5.6130
_cell_length_c 11.2163
_cell_angle_alpha 90.00
_cell_angle_beta 90.00
_cell_angle_gamma 90.00
_space_group_name_H-M_alt 'P m n a'
_space_group_IT_number 53
loop_
_space_group_symop_operation_xyz
'x,y,z'
'-x,-y,-z'
'-x+1/2,-y,z+1/2'
'x+1/2,y,-z+1/2'
'x,-y,-z'
'-x,y,z'
'-x+1/2,y,-z+1/2'
'x+1/2,-y,z+1/2'
loop_
_atom_site_label
_atom_site_fract_x
_atom_site_fract_y
_atom_site_fract_z
Ca1 0.0000 0.0000 0.0000
C1 0.0000 0.4052 0.2541
C2 0.0000 0.4110 0.6610
C3 0.1478 0.3126 0.6199
N1 0.0000 0.2535 0.1822
N2 0.2302 0.2280 0.9158
```

=====

(3)
Calculated PXRD pattern of Ca3NiC2N6 for Cu Kα, from a DFT-relaxed cell (PBE, Alexandria).
Kinematic intensities with the Lorentz-polarization factor, no thermal factor.

The 10 most intense peaks (5° ≤ 2θ ≤ 70°), low angle first:
d/Å, I/Imax
6.115, 38.3
4.494, 35.0
2.594, 87.1
2.528, 100.0
2.388, 9.6
2.109, 34.1
1.811, 56.5
1.510, 10.2
1.498, 13.5
1.485, 26.1

Crystal structure
```
data_Ca3NiC2N6
_chemical_formula_sum 'Ca3 Ni1 C2 N6'
_cell_length_a 5.1888
_cell_length_b 5.1888
_cell_length_c 6.1155
_cell_angle_alpha 90.00
_cell_angle_beta 90.00
_cell_angle_gamma 120.00
_space_group_name_H-M_alt 'P -3 m 1'
_space_group_IT_number 164
_space_group_name_Hall '-P 3 2"'
loop_
_atom_site_label
_atom_site_fract_x
_atom_site_fract_y
_atom_site_fract_z
Ca1 0.0000 0.0000 0.0000
Ca2 0.3333 0.6667 0.6992
Ni1 0.0000 0.0000 0.5000
C1 0.3333 0.6667 0.2887
N1 0.1815 0.3631 0.2814
```

=====

(4)
Calculated PXRD pattern of SrCaCN2 for Cu Kα, from a DFT-relaxed cell (PBE, Alexandria).
Kinematic intensities with the Lorentz-polarization factor, no thermal factor.

The 10 most intense peaks (5° ≤ 2θ ≤ 70°), low angle first:
d/Å, I/Imax
5.010, 32.5
4.335, 81.7
3.895, 30.4
3.561, 29.7
3.295, 46.2
3.089, 53.8
3.075, 100.0
2.326, 29.8
2.104, 32.8
2.058, 37.6

Crystal structure
```
data_SrCaCN2
_chemical_formula_sum 'Sr1 Ca1 C1 N2'
_cell_length_a 5.1112
_cell_length_b 3.8949
_cell_length_c 6.3043
_cell_angle_alpha 90.00
_cell_angle_beta 101.44
_cell_angle_gamma 90.00
_space_group_name_H-M_alt 'P 1 2/m 1'
_space_group_IT_number 10
loop_
_space_group_symop_operation_xyz
'x,y,z'
'-x,-y,-z'
'-x,y,-z'
'x,-y,z'
loop_
_atom_site_label
_atom_site_fract_x
_atom_site_fract_y
_atom_site_fract_z
Sr1 0.0000 0.0000 0.0000
Ca1 0.5000 0.5000 0.5000
C1 0.0000 0.0000 0.5000
N1 0.1986 0.0000 0.4148
```

=====

(5)
Calculated PXRD pattern of Na2CaC2O3 for Cu Kα, from a DFT-relaxed cell (PBE, Alexandria).
Kinematic intensities with the Lorentz-polarization factor, no thermal factor.

The 10 most intense peaks (5° ≤ 2θ ≤ 70°), low angle first:
d/Å, I/Imax
5.184, 100.0
2.724, 64.3
2.716, 17.6
2.592, 29.5
2.562, 30.8
2.541, 53.9
2.235, 20.1
2.035, 49.6
1.853, 19.4
1.683, 32.1

Crystal structure
```
data_Na2CaC2O3
_chemical_formula_sum 'Na8 Ca4 C8 O12'
_cell_length_a 5.1233
_cell_length_b 8.7792
_cell_length_c 10.3689
_cell_angle_alpha 90.00
_cell_angle_beta 90.00
_cell_angle_gamma 90.00
_space_group_name_H-M_alt 'C m c m'
_space_group_IT_number 63
_space_group_name_Hall '-C 2c 2'
loop_
_atom_site_label
_atom_site_fract_x
_atom_site_fract_y
_atom_site_fract_z
Na1 0.0000 0.1838 0.0784
Ca1 0.0000 0.4809 0.7500
C1 0.0000 0.1481 0.7500
C2 0.0000 0.5000 0.0000
O1 0.0000 0.9995 0.2500
O2 0.2190 0.2219 0.7500
```

=====

(6)
Calculated PXRD pattern of Na2CaPb3C5O15 for Cu Kα, from a DFT-relaxed cell (PBE, Alexandria).
Kinematic intensities with the Lorentz-polarization factor, no thermal factor.

The 10 most intense peaks (5° ≤ 2θ ≤ 70°), low angle first:
d/Å, I/Imax
9.263, 82.0
5.346, 62.5
4.623, 51.6
3.859, 99.8
3.830, 100.0
3.775, 92.3
3.380, 76.0
3.132, 65.3
2.679, 85.4
2.203, 56.1

Crystal structure
```
data_Na2CaPb3C5O15
_chemical_formula_sum 'Na8 Ca4 Pb12 C20 O60'
_cell_length_a 10.6625
_cell_length_b 18.5897
_cell_length_c 6.7628
_cell_angle_alpha 90.00
_cell_angle_beta 91.55
_cell_angle_gamma 90.00
_space_group_name_H-M_alt 'C 1 c 1'
_space_group_IT_number 9
loop_
_space_group_symop_operation_xyz
'x,y,z'
'x,-y,z+1/2'
'x+1/2,y+1/2,z'
'x+1/2,-y+1/2,z+1/2'
loop_
_atom_site_label
_atom_site_fract_x
_atom_site_fract_y
_atom_site_fract_z
Na1 0.0000 0.0261 0.0000
Na2 0.2891 0.2647 0.4805
Ca1 0.2134 0.2374 0.9675
Pb1 0.0044 0.3471 0.2971
Pb2 0.2437 0.4258 0.7986
Pb3 0.2614 0.0770 0.3152
C1 0.0014 0.1705 0.2920
C2 0.0010 0.4983 0.9430
C3 0.1941 0.1025 0.7496
C4 0.3078 0.3968 0.2389
C5 0.4993 0.2041 0.2358
O1 0.0002 0.1007 0.3019
O2 0.1072 0.3069 0.6532
O3 0.1074 0.4675 0.4315
O4 0.1080 0.2047 0.2757
O5 0.1538 0.1127 0.9244
O6 0.1691 0.0436 0.6515
O7 0.2401 0.3481 0.1420
O8 0.2614 0.1530 0.6670
O9 0.3367 0.4561 0.1438
O10 0.3422 0.3871 0.4179
O11 0.3953 0.1886 0.1376
O12 0.3966 0.0344 0.9378
O13 0.3970 0.2932 0.7983
O14 0.4971 0.2299 0.4117
O15 0.4995 0.0714 0.4509
```